The following is a calculated powder diffractogram of Pm2Ga2Au3. It was derived from a cell relaxed with PBE, using Cu Kα (weighted mean of Kα1 and Kα2).
Lines closer than 0.1° are merged.

Main lines, in order of rising 2θ (2θ from 5° to 70°):
2θ (°)	Rel. int.	(hkl)
13.66	32	0 0 1
32.03	87	3 1 0
32.14	25	4 0 -1
33.92	24	2 0 2
35.14	100	1 1 -2
36.49	66	3 1 1
38.51	41	4 0 -2
44.06	35	0 2 0
59.93	23	4 2 -2
60.55	23	7 1 -1

Structure:
```
data_Pm2Ga2Au3
_chemical_formula_sum 'Pm4 Ga4 Au6'
_cell_length_a 11.5808
_cell_length_b 4.1103
_cell_length_c 6.5677
_cell_angle_alpha 90.00
_cell_angle_beta 99.25
_cell_angle_gamma 90.00
_space_group_name_H-M_alt 'C 1 2/m 1'
_space_group_IT_number 12
loop_
_space_group_symop_operation_xyz
'x,y,z'
'-x,-y,-z'
'-x,y,-z'
'x,-y,z'
'x+1/2,y+1/2,z'
'-x+1/2,-y+1/2,-z'
'-x+1/2,y+1/2,-z'
'x+1/2,-y+1/2,z'
loop_
_atom_site_label
_atom_site_type_symbol
_atom_site_fract_x
_atom_site_fract_y
_atom_site_fract_z
Pm1 Pm 0.1322 0.0000 0.3125
Ga1 Ga 0.0890 0.5000 0.6584
Au1 Au 0.0000 0.5000 0.0000
Au2 Au 0.1968 0.0000 0.8538
```